Entry 1:
Structure and calculated PXRD pattern of CaAg3Sn3 (the GGA-PBE geometry in Alexandria; copper Kα).

Most intense lines, 10 to 90 degrees two-theta, by angle:
| (hkl) | 2θ (°) | Rel. int. |
| --- | --- | --- |
| 0 1 2 | 16.81 | 14 |
| 3 -2 2 | 32.93 | 100 |
| 0 0 6 | 37.60 | 30 |
| 2 1 4 | 39.62 | 78 |
| 4 -3 1 | 42.38 | 16 |
| 3 -2 8 | 60.45 | 14 |

Atomic structure:
a b c (Å): 8.9795 8.9795 14.3523
angles (deg): 90.00 90.00 120.00
Space group R-3 (No. 148, hexagonal axes)
Asymmetric unit:
Ca 0.0000 0.0000 0.2383 [6 per cell]
Ag 0.0554 0.2244 0.4168 [18 per cell]
Sn 0.0087 0.7565 0.0722 [18 per cell]

=====

Entry 2:
Structure and calculated PXRD pattern of Er2Be4Ir5 (the GGA-PBE geometry in Alexandria; copper Kα).

Most intense lines, 10 to 90 degrees two-theta, by angle:
| (hkl) | 2θ (°) | Rel. int. |
| --- | --- | --- |
| 1 1 3 | 28.37 | 51 |
| 0 2 4 | 34.71 | 57 |
| 2 2 0 | 37.12 | 100 |
| 0 4 0 | 38.53 | 45 |
| 2 0 4 | 43.25 | 34 |
| 2 2 8 | 72.34 | 27 |

Atomic structure:
a b c (Å): 5.665 9.345 12.409
angles (deg): 90.00 90.00 90.00
Space group Fmmm (No. 69)
Asymmetric unit:
Er 0.000 0.000 0.135 [8 per cell]
Be 0.000 0.158 0.367 [16 per cell]
Ir 0.000 0.000 0.500 [4 per cell]
Ir 0.250 0.250 0.000 [8 per cell]
Ir 0.250 0.250 0.250 [8 per cell]

=====

Entry 3:
Structure and calculated PXRD pattern of Gd2LuSc (the GGA-PBE geometry in Alexandria; copper Kα).

Most intense lines, 10 to 90 degrees two-theta, by angle:
| (hkl) | 2θ (°) | Rel. int. |
| --- | --- | --- |
| 1 1 1 | 31.65 | 100 |
| 2 0 0 | 36.35 | 34 |
| 0 0 2 | 37.41 | 16 |
| 2 0 2 | 53.15 | 23 |
| 3 1 1 | 62.48 | 28 |
| 1 1 3 | 63.90 | 13 |

Atomic structure:
a b c (Å): 4.943 4.943 4.808
angles (deg): 90.00 90.00 90.00
Space group P4/mmm (No. 123)
Asymmetric unit:
Gd 0.000 0.500 0.000 [2 per cell]
Lu 0.000 0.000 0.500 [1 per cell]
Sc 0.500 0.500 0.500 [1 per cell]